# 1
This entry pairs a crystal structure of BaCuSO with its calculated powder X-ray diffraction pattern. Radiation: λ = 1.5418 Å (Cu Kα). Structure: DFT lattice parameters and positions (PBE).

Main lines, sorted by position (10 to 90 degrees two-theta):
2theta	d (Å)	Rel. int.
27.6	3.227	37
28.1	3.180	27
29.1	3.072	47
34.2	2.622	100
40.8	2.209	29
57.8	1.596	29

Atomic structure:
```
data_BaCuSO
_chemical_formula_sum 'Ba4 Cu4 S4 O4'
_cell_length_a 3.973
_cell_length_b 12.719
_cell_length_c 6.144
_cell_angle_alpha 90.00
_cell_angle_beta 90.00
_cell_angle_gamma 90.00
_space_group_name_H-M_alt 'C m c m'
_space_group_IT_number 63
_space_group_name_Hall '-C 2c 2'
loop_
_atom_site_label
_atom_site_type_symbol
_atom_site_fract_x
_atom_site_fract_y
_atom_site_fract_z
Ba1 Ba 0.000 0.104 0.250
Cu1 Cu 0.000 0.397 0.250
S1 S 0.000 0.184 0.750
O1 O 0.000 0.500 0.000
```



# 2
This entry pairs a crystal structure of Ba3CuSb2O9 with its calculated powder X-ray diffraction pattern. Radiation: λ = 1.5418 Å (Cu Kα). Structure: DFT lattice parameters and positions (PBE).

Main lines, sorted by position (10 to 90 degrees two-theta):
2theta	d (Å)	Rel. int.
25.3	3.517	26
30.1	2.965	71
30.4	2.943	100
43.3	2.089	40
53.8	1.703	28
54.0	1.699	20

Atomic structure:
```
data_Ba3CuSb2O9
_chemical_formula_sum 'Ba6 Cu2 Sb4 O18'
_cell_length_a 5.8868
_cell_length_b 5.8868
_cell_length_c 14.5760
_cell_angle_alpha 90.00
_cell_angle_beta 90.00
_cell_angle_gamma 120.00
_space_group_name_H-M_alt 'P 63 m c'
_space_group_IT_number 186
_space_group_name_Hall 'P 6c -2c'
loop_
_atom_site_label
_atom_site_type_symbol
_atom_site_fract_x
_atom_site_fract_y
_atom_site_fract_z
Ba1 Ba 0.0000 0.0000 0.0000
Ba2 Ba 0.3333 0.6667 0.1676
Ba3 Ba 0.3333 0.6667 0.8627
Cu1 Cu 0.3333 0.6667 0.4042
Sb1 Sb 0.0000 0.0000 0.2570
Sb2 Sb 0.3333 0.6667 0.5922
O1 O 0.0208 0.5104 0.5104
O2 O 0.1616 0.3231 0.3329
O3 O 0.1656 0.3313 0.6716
```



# 3
This entry pairs a crystal structure of BaCuSbO5 with its calculated powder X-ray diffraction pattern. Radiation: λ = 1.5418 Å (Cu Kα). Structure: DFT lattice parameters and positions (PBE).

Main lines, sorted by position (10 to 90 degrees two-theta):
2theta	d (Å)	Rel. int.
25.5	3.497	59
30.4	2.939	100
33.6	2.664	34
44.7	2.029	23
48.3	1.884	26
58.2	1.586	31

Atomic structure:
```
data_BaCuSbO5
_chemical_formula_sum 'Ba1 Cu1 Sb1 O5'
_cell_length_a 3.768
_cell_length_b 3.768
_cell_length_c 9.393
_cell_angle_alpha 90.00
_cell_angle_beta 90.00
_cell_angle_gamma 90.00
_space_group_name_H-M_alt 'P 4 m m'
_space_group_IT_number 99
loop_
_space_group_symop_operation_xyz
'x,y,z'
'-y,x,z'
'-x,-y,z'
'y,-x,z'
'-x,y,z'
'y,x,z'
'x,-y,z'
'-y,-x,z'
loop_
_atom_site_label
_atom_site_type_symbol
_atom_site_fract_x
_atom_site_fract_y
_atom_site_fract_z
Ba1 Ba 0.000 0.000 0.000
Cu1 Cu 0.500 0.500 0.246
Sb1 Sb 0.500 0.500 0.680
O1 O 0.000 0.500 0.204
O2 O 0.000 0.500 0.624
O3 O 0.500 0.500 0.886
```



> Number 2 is which compound?

Ba3CuSb2O9



> Number 1 is which compound?

BaCuSO